Entry 1:
For Sr2BiSbMo, a structure optimized by DFT (GGA-PBE) gives the theoretical powder XRD pattern in this record (CuKα).
No peak broadening, texture or thermal motion is included.

```
Sr2BiSbMo
1.0
6.1600 0.0000 0.0000
0.0000 6.1600 0.0000
0.0000 0.0000 5.1945
Sr Bi Sb Mo
2 1 1 1
direct
0.0000 0.5000 0.0000
0.5000 0.0000 0.0000
0.0000 0.0000 0.5000
0.5000 0.5000 0.0000
0.5000 0.5000 0.5000
```

Most intense lines, 2θ from 10° to 80°, by angle:
20.39 deg, rel. 39.9
22.39 deg, rel. 53.4
26.71 deg, rel. 87.8
28.99 deg, rel. 100.0
41.46 deg, rel. 38.0
45.69 deg, rel. 57.4
50.01 deg, rel. 31.7
55.04 deg, rel. 38.0

=====

Entry 2:
For BiMoSe2, a structure optimized by DFT (GGA-PBE) gives the theoretical powder XRD pattern in this record (CuKα).
No peak broadening, texture or thermal motion is included.

```
BiMoSe2
1.0
10.1596 -1.6757 0.0000
10.1596 1.6757 0.0000
-0.5215 0.0000 5.7797
Bi Mo Se
2 2 4
direct
0.1866 0.8134 0.7500
0.8134 0.1866 0.2500
0.0000 0.5000 0.0000
0.5000 0.0000 0.5000
0.0841 0.5834 0.6929
0.4166 0.9159 0.8071
0.5834 0.0841 0.1929
0.9159 0.4166 0.3071
```

Most intense lines, 2θ from 10° to 80°, by angle:
17.53 deg, rel. 64.2
26.43 deg, rel. 35.5
30.96 deg, rel. 48.1
31.39 deg, rel. 100.0
39.02 deg, rel. 60.0
39.19 deg, rel. 31.6
43.18 deg, rel. 45.7
54.79 deg, rel. 37.1

=====

Entry 3:
For SrTcBiMo2, a structure optimized by DFT (GGA-PBE) gives the theoretical powder XRD pattern in this record (CuKα).
No peak broadening, texture or thermal motion is included.

```
SrTcBiMo2
1.0
4.9716 0.0000 0.0000
0.0000 4.9716 0.0000
0.0000 0.0000 4.8423
Sr Tc Bi Mo
1 1 1 2
direct
0.0000 0.0000 0.0000
0.0000 0.0000 0.5000
0.5000 0.5000 0.5000
0.0000 0.5000 0.0000
0.5000 0.0000 0.0000
```

Most intense lines, 2θ from 10° to 80°, by angle:
25.68 deg, rel. 35.6
31.45 deg, rel. 100.0
36.13 deg, rel. 70.0
37.13 deg, rel. 32.4
52.03 deg, rel. 24.4
52.78 deg, rel. 46.7
62.07 deg, rel. 28.3
65.64 deg, rel. 24.2